Entry 1:
This entry pairs a crystal structure of HgBPd4 with its theoretical XRD peak list. Radiation: Cu Kα. Structure: a crystal structure in Alexandria, relaxed with PBE.

```
HgBPd4
1.0
-2.4544 2.8305 6.4916
2.4544 -2.8305 6.4916
2.4544 2.8305 -6.4916
Hg B Pd
2 2 8
Direct
0.1932 0.1932 0.0000
0.8068 0.8068 0.0000
0.5000 0.3166 0.8166
0.5000 0.6834 0.1834
0.1356 0.3871 0.7485
0.2470 0.0000 0.2470
0.3105 0.8105 0.5000
0.3614 0.6129 0.7485
0.6386 0.3871 0.2515
0.6895 0.1895 0.5000
0.7530 0.0000 0.7530
0.8644 0.6129 0.2515
```

Principal peaks in the range 10 to 90 degrees two-theta, low angle first:
- 2θ = 34.57°, intensity 45
- 2θ = 36.61°, intensity 57
- 2θ = 37.32°, intensity 15
- 2θ = 39.25°, intensity 89
- 2θ = 42.37°, intensity 100
- 2θ = 51.24°, intensity 31
- 2θ = 66.40°, intensity 22
- 2θ = 67.68°, intensity 19
- 2θ = 69.87°, intensity 21
- 2θ = 77.89°, intensity 19
- 2θ = 78.29°, intensity 22
- 2θ = 79.57°, intensity 23

Entry 2:
This entry pairs a crystal structure of HgB2Pd2 with its theoretical XRD peak list. Radiation: Cu Kα. Structure: a crystal structure in Alexandria, relaxed with PBE.

```
HgB2Pd2
1.0
2.9842 0.0000 0.0000
0.0000 2.9842 0.0000
0.0000 0.0000 14.9895
Hg B Pd
2 4 4
Direct
0.0000 0.0000 0.0000
0.5000 0.5000 0.5000
0.0000 0.5000 0.2500
0.0000 0.5000 0.7500
0.5000 0.0000 0.2500
0.5000 0.0000 0.7500
0.0000 0.0000 0.3543
0.0000 0.0000 0.6457
0.5000 0.5000 0.1457
0.5000 0.5000 0.8543
```

Principal peaks in the range 10 to 90 degrees two-theta, low angle first:
- 2θ = 11.81°, intensity 27
- 2θ = 35.02°, intensity 100
- 2θ = 35.95°, intensity 17
- 2θ = 42.75°, intensity 19
- 2θ = 42.86°, intensity 29
- 2θ = 57.14°, intensity 20
- 2θ = 62.22°, intensity 11
- 2θ = 64.02°, intensity 9
- 2θ = 66.77°, intensity 8
- 2θ = 73.44°, intensity 23
- 2θ = 74.00°, intensity 8
- 2θ = 76.91°, intensity 9

Entry 3:
This entry pairs a crystal structure of HgB5Pt8 with its theoretical XRD peak list. Radiation: Cu Kα. Structure: a crystal structure in Alexandria, relaxed with PBE.

```
HgB5Pt8
1.0
8.7958 -1.7144 0.0000
8.7958 1.7144 0.0000
-1.9220 0.0000 6.2452
Hg B Pt
1 5 8
Direct
0.0000 0.0000 0.0000
0.1598 0.1598 0.4662
0.1998 0.1998 0.8378
0.5000 0.5000 0.5000
0.8002 0.8002 0.1622
0.8402 0.8402 0.5338
0.0722 0.0722 0.6692
0.2595 0.2595 0.3350
0.3310 0.3310 0.9993
0.4095 0.4095 0.6691
0.5905 0.5905 0.3309
0.6690 0.6690 0.0007
0.7405 0.7405 0.6650
0.9278 0.9278 0.3308
```

Principal peaks in the range 10 to 90 degrees two-theta, low angle first:
- 2θ = 30.57°, intensity 33
- 2θ = 30.90°, intensity 16
- 2θ = 35.85°, intensity 86
- 2θ = 36.23°, intensity 42
- 2θ = 38.85°, intensity 100
- 2θ = 43.47°, intensity 34
- 2θ = 49.70°, intensity 17
- 2θ = 53.45°, intensity 20
- 2θ = 54.00°, intensity 39
- 2θ = 71.26°, intensity 16
- 2θ = 71.55°, intensity 16
- 2θ = 71.91°, intensity 15

Entry 4:
This entry pairs a crystal structure of Hg2BPt with its theoretical XRD peak list. Radiation: Cu Kα. Structure: a crystal structure in Alexandria, relaxed with PBE.

```
Hg2BPt
1.0
9.4004 0.0000 0.0000
0.0000 9.4004 0.0000
0.0000 0.0000 4.1680
Hg B Pt
8 4 4
Direct
0.0000 0.0000 0.0000
0.0000 0.5000 0.0000
0.2500 0.2500 0.7500
0.2500 0.7500 0.2500
0.5000 0.0000 0.5000
0.5000 0.5000 0.5000
0.7500 0.2500 0.7500
0.7500 0.7500 0.2500
0.0000 0.2500 0.8750
0.0000 0.7500 0.1250
0.5000 0.2500 0.6250
0.5000 0.7500 0.3750
0.0000 0.2500 0.3750
0.0000 0.7500 0.6250
0.5000 0.2500 0.1250
0.5000 0.7500 0.8750
```

Principal peaks in the range 10 to 90 degrees two-theta, low angle first:
- 2θ = 18.88°, intensity 29
- 2θ = 26.82°, intensity 12
- 2θ = 30.19°, intensity 100
- 2θ = 38.30°, intensity 44
- 2θ = 40.82°, intensity 45
- 2θ = 47.74°, intensity 21
- 2θ = 55.28°, intensity 16
- 2θ = 57.21°, intensity 17
- 2θ = 62.79°, intensity 19
- 2θ = 64.29°, intensity 12
- 2θ = 70.96°, intensity 9
- 2θ = 87.25°, intensity 8